This entry pairs a crystal structure of Ta4NiP with its computed PXRD pattern. Radiation: λ = 1.5418 Å (Cu Kα). Structure: the GGA-PBE geometry in Alexandria.
Neutral-atom scattering factors, no anomalous dispersion.

Atomic structure:
Lattice parameters (Å, degrees): 6.1652 6.1652 4.9553 90.00 90.00 90.00
Space group P4/mcc (No. 124)
Unique sites:
Ta  0.1612  0.3374  0.0000
Ni  0.0000  0.0000  0.2500
P  0.5000  0.5000  0.2500

Largest 8 diffraction maxima, in order of rising 2θ, 5° ≤ 2θ ≤ 70°:
two_theta	d (Å)	I (rel.)	h k l
28.97	3.083	8	2 0 0
36.26	2.478	17	0 0 2
37.32	2.409	100	2 1 1
41.94	2.154	10	1 1 2
46.58	1.950	20	3 1 0
47.06	1.931	15	2 0 2
65.17	1.432	16	4 1 1
65.92	1.417	19	2 1 3